# HoZn11Cu
Theoretical powder X-ray diffraction pattern, Cu Kα, 1.54184 Å. Input: the GGA-PBE geometry in Alexandria.

Largest 10 diffraction maxima, low angle first, 10° ≤ 2θ ≤ 90°:
two_theta, I/Imax
28.42, 229
34.58, 180
35.07, 496
40.33, 733
40.77, 1000
40.91, 560
45.45, 249
46.00, 155
66.13, 172
74.38, 154

Atomic structure:
Lattice parameters (Å, degrees): 6.7597 6.7597 6.7483 98.43 98.43 134.87
Atoms (fractional coordinates):
1 Ho 0.0000 0.0000 0.0000
2 Zn 0.0000 0.0000 0.5000
3 Zn 0.0000 0.5000 0.0000
4 Zn 0.0125 0.3616 0.3554
5 Zn 0.2877 0.5027 0.7811
6 Zn 0.3616 0.0125 0.3554
7 Zn 0.4973 0.7123 0.2189
8 Zn 0.5000 0.0000 0.0000
9 Zn 0.5027 0.2877 0.7811
10 Zn 0.6384 0.9875 0.6446
11 Zn 0.7123 0.4973 0.2189
12 Zn 0.9875 0.6384 0.6446
13 Cu 0.5000 0.5000 0.5000